(1)
La8Y3Mg2: computed powder diffractogram (copper Kα), based on a structure optimized by DFT (GGA-PBE).
Kinematic intensities with the Lorentz-polarization factor, no thermal factor.

Main lines, in order of rising 2θ (15 to 90 degrees two-theta):
3.561 Å, 25.00 deg, rel. 183
3.193 Å, 27.94 deg, rel. 155
3.129 Å, 28.53 deg, rel. 431
3.043 Å, 29.36 deg, rel. 1000
3.022 Å, 29.56 deg, rel. 477
2.793 Å, 32.04 deg, rel. 202
2.754 Å, 32.51 deg, rel. 376
2.742 Å, 32.66 deg, rel. 311
2.478 Å, 36.26 deg, rel. 262
1.635 Å, 56.27 deg, rel. 114

Structural model:
a = 6.597 Å, b = 7.301 Å, c = 10.181 Å
α = 96.60°, β = 95.65°, γ = 111.03°
Fractional coordinates of all 13 atoms:
La (0.007, 0.310, 0.372)
La (0.014, 0.798, 0.294)
La (0.422, 0.444, 0.178)
La (0.476, 0.038, 0.815)
La (0.524, 0.962, 0.185)
La (0.578, 0.556, 0.822)
La (0.986, 0.202, 0.706)
La (0.993, 0.690, 0.628)
Y (0.000, 0.000, 0.000)
Y (0.488, 0.244, 0.504)
Y (0.512, 0.756, 0.496)
Mg (0.153, 0.631, 0.937)
Mg (0.847, 0.369, 0.063)

=====

(2)
La4Y3Mg: computed powder diffractogram (copper Kα), based on a structure optimized by DFT (GGA-PBE).
Kinematic intensities with the Lorentz-polarization factor, no thermal factor.

Main lines, in order of rising 2θ (15 to 90 degrees two-theta):
3.759 Å, 23.67 deg, rel. 81
2.965 Å, 30.14 deg, rel. 1000
2.658 Å, 33.72 deg, rel. 386
2.411 Å, 37.30 deg, rel. 124
1.880 Å, 48.43 deg, rel. 138
1.786 Å, 51.15 deg, rel. 197
1.588 Å, 58.10 deg, rel. 341
1.482 Å, 62.67 deg, rel. 106
1.478 Å, 62.89 deg, rel. 84
1.213 Å, 78.92 deg, rel. 91

Structural model:
a = 3.759 Å, b = 3.759 Å, c = 19.287 Å
α = 90.00°, β = 90.00°, γ = 90.00°
Fractional coordinates of all 8 atoms:
La (0.000, 0.000, 0.112)
La (0.000, 0.000, 0.372)
La (0.000, 0.000, 0.628)
La (0.000, 0.000, 0.888)
Y (0.500, 0.500, 0.243)
Y (0.500, 0.500, 0.500)
Y (0.500, 0.500, 0.757)
Mg (0.500, 0.500, 0.000)

=====

(3)
La7Y12Mg: computed powder diffractogram (copper Kα), based on a structure optimized by DFT (GGA-PBE).
Kinematic intensities with the Lorentz-polarization factor, no thermal factor.

Main lines, in order of rising 2θ (15 to 90 degrees two-theta):
3.169 Å, 28.16 deg, rel. 186
3.026 Å, 29.52 deg, rel. 320
2.941 Å, 30.40 deg, rel. 339
2.900 Å, 30.83 deg, rel. 1000
2.816 Å, 31.77 deg, rel. 459
2.764 Å, 32.39 deg, rel. 538
2.715 Å, 33.00 deg, rel. 167
2.418 Å, 37.18 deg, rel. 130
1.740 Å, 52.58 deg, rel. 137
1.615 Å, 57.04 deg, rel. 146

Structural model:
a = 8.831 Å, b = 8.831 Å, c = 8.831 Å
α = 88.14°, β = 88.14°, γ = 88.14°
Fractional coordinates of all 20 atoms:
La (0.000, 0.000, 0.000)
La (0.146, 0.735, 0.279)
La (0.265, 0.721, 0.854)
La (0.279, 0.146, 0.735)
La (0.721, 0.854, 0.265)
La (0.735, 0.279, 0.146)
La (0.854, 0.265, 0.721)
Y (0.062, 0.152, 0.388)
Y (0.152, 0.388, 0.062)
Y (0.156, 0.488, 0.605)
Y (0.388, 0.062, 0.152)
Y (0.395, 0.844, 0.512)
Y (0.488, 0.605, 0.156)
Y (0.512, 0.395, 0.844)
Y (0.605, 0.156, 0.488)
Y (0.612, 0.938, 0.848)
Y (0.844, 0.512, 0.395)
Y (0.848, 0.612, 0.938)
Y (0.938, 0.848, 0.612)
Mg (0.500, 0.500, 0.500)

=====

Repeat the second record exactly.
La4Y3Mg: computed powder diffractogram (copper Kα), based on a structure optimized by DFT (GGA-PBE).
Kinematic intensities with the Lorentz-polarization factor, no thermal factor.

Main lines, in order of rising 2θ (15 to 90 degrees two-theta):
3.759 Å, 23.67 deg, rel. 81
2.965 Å, 30.14 deg, rel. 1000
2.658 Å, 33.72 deg, rel. 386
2.411 Å, 37.30 deg, rel. 124
1.880 Å, 48.43 deg, rel. 138
1.786 Å, 51.15 deg, rel. 197
1.588 Å, 58.10 deg, rel. 341
1.482 Å, 62.67 deg, rel. 106
1.478 Å, 62.89 deg, rel. 84
1.213 Å, 78.92 deg, rel. 91

Structural model:
a = 3.759 Å, b = 3.759 Å, c = 19.287 Å
α = 90.00°, β = 90.00°, γ = 90.00°
Fractional coordinates of all 8 atoms:
La (0.000, 0.000, 0.112)
La (0.000, 0.000, 0.372)
La (0.000, 0.000, 0.628)
La (0.000, 0.000, 0.888)
Y (0.500, 0.500, 0.243)
Y (0.500, 0.500, 0.500)
Y (0.500, 0.500, 0.757)
Mg (0.500, 0.500, 0.000)